Computed powder XRD pattern of KMo2P3O13 for λ = 1.5418 Å (Cu Kα), from the GGA+U geometry in the Materials Project.
Peak positions follow from Bragg's law for the DFT cell and can differ from measured ones.

Largest 12 diffraction maxima, sorted by position, 10 to 90 degrees two-theta:
hkl 1 1 -1, 2θ = 11.92°, I 437; hkl 0 2 1, 2θ = 17.35°, I 1000; hkl 2 2 -1, 2θ = 20.42°, I 297; hkl 1 3 0, 2θ = 21.11°, I 322; hkl 3 1 -2, 2θ = 26.06°, I 339; hkl 1 3 1, 2θ = 27.33°, I 223; hkl 0 2 2, 2θ = 27.49°, I 322; hkl 2 4 -1, 2θ = 29.77°, I 214; hkl 3 1 -3, 2θ = 31.57°, I 199; hkl 1 1 2, 2θ = 32.33°, I 236; hkl 3 1 -4, 2θ = 40.46°, I 181; hkl 2 6 0, 2θ = 42.99°, I 169

Crystal structure
Cell: 10.9336 14.3651 9.0255 Å, 90.00 126.31 90.00°
Space group C2/c (No. 15)
Symmetry-distinct sites (fractional):
1 K 0.2500 0.2500 0.0000 x4
2 Mo 0.2440 0.0827 0.6682 x8
3 P 0.0000 0.0117 0.7500 x4
4 P 0.0554 0.2948 0.4371 x8
5 O 0.0000 0.2394 0.2500 x4
6 O 0.0537 0.0501 0.4176 x8
7 O 0.0886 0.3415 0.1004 x8
8 O 0.1216 0.2254 0.5921 x8
9 O 0.1317 0.0751 0.7889 x8
10 O 0.1701 0.3684 0.4661 x8
11 O 0.1728 0.4759 0.7699 x8